(1)
Structure and theoretical X-ray powder pattern of Y3GeS2 (DFT lattice parameters and positions (PBE); Cu Kα (weighted mean of Kα1 and Kα2)).
Lines closer than 0.1° are merged.

Main lines, in order of rising 2θ (5° ≤ 2θ ≤ 70°):
two_theta	d_spacing	I (rel.)
9.09	9.730	5
27.08	3.293	16
27.50	3.243	5
31.49	2.841	100
44.86	2.020	36
45.41	1.997	35
53.43	1.715	4
55.84	1.647	18
56.77	1.622	6
65.74	1.420	11

Crystal structure
abc: 4.0409 4.0409 9.7302
angles: 90.00 90.00 120.00
Sites, in units of the cell vectors:
Y1 0.0000 0.0000 0.0000
Y2 0.3333 0.6667 0.6650
Y3 0.6667 0.3333 0.3350
Ge1 0.0000 0.0000 0.5000
S1 0.3333 0.6667 0.1591
S2 0.6667 0.3333 0.8409

(2)
Structure and theoretical X-ray powder pattern of Y12Ge5S28 (DFT lattice parameters and positions (PBE); Cu Kα (weighted mean of Kα1 and Kα2)).
Lines closer than 0.1° are merged.

Main lines, in order of rising 2θ (5° ≤ 2θ ≤ 70°):
two_theta	d_spacing	I (rel.)
20.74	4.283	35
23.74	3.748	29
25.95	3.434	100
31.72	2.821	22
35.10	2.557	27
36.16	2.484	22
36.33	2.473	55
37.70	2.386	43
37.87	2.376	43
41.11	2.196	32

Crystal structure
abc: 9.8971 11.4345 11.4380
angles: 96.93 115.63 115.64
Sites, in units of the cell vectors:
Y1 0.0000 0.0000 0.0000
Y2 0.0044 0.6609 0.8805
Y3 0.1470 0.8969 0.6048
Y4 0.1667 0.2800 0.7558
Y5 0.1831 0.7172 0.2842
Y6 0.4839 0.7094 0.8326
Y7 0.4983 0.1442 0.3586
Y8 0.5152 0.5295 0.5063
Y9 0.6661 0.7672 0.2332
Y10 0.6709 0.4258 0.1157
Y11 0.7154 0.2295 0.8053
Y12 0.9552 0.1975 0.3047
Ge1 0.0000 0.5434 0.5546
Ge2 0.2502 0.4633 0.1393
Ge3 0.3222 0.2015 0.5456
Ge4 0.4951 0.0435 0.0534
Ge5 0.7492 0.9609 0.6395
S1 0.0090 0.0454 0.4744
S2 0.0243 0.0026 0.7624
S3 0.0598 0.2664 0.9543
S4 0.1111 0.5093 0.7541
S5 0.1648 0.8777 0.1282
S6 0.1727 0.4687 0.2965
S7 0.2448 0.2093 0.3105
S8 0.2456 0.6976 0.5646
S9 0.2685 0.3867 0.5811
S10 0.2995 0.6615 0.1040
S11 0.3077 0.8526 0.8642
S12 0.3724 0.0088 0.5104
S13 0.3887 0.1721 0.0900
S14 0.4019 0.1924 0.7739
S15 0.4856 0.5288 0.9674
S16 0.5224 0.5008 0.2639
S17 0.5583 0.7764 0.4432
S18 0.6155 0.0075 0.2527
S19 0.6253 0.3564 0.6106
S20 0.6708 0.9692 0.7951
S21 0.7308 0.2049 0.0570
S22 0.7318 0.7060 0.7906
S23 0.7761 0.9138 0.0911
S24 0.7977 0.1607 0.6039
S25 0.8069 0.3535 0.3630
S26 0.8742 0.4946 0.0021
S27 0.8863 0.6623 0.5999
S28 0.9162 0.7013 0.3055

(3)
Structure and theoretical X-ray powder pattern of ZrGeS (DFT lattice parameters and positions (PBE); Cu Kα (weighted mean of Kα1 and Kα2)).
Lines closer than 0.1° are merged.

Main lines, in order of rising 2θ (5° ≤ 2θ ≤ 70°):
two_theta	d_spacing	I (rel.)
10.91	8.109	28
26.75	3.333	59
33.14	2.703	34
36.48	2.463	70
41.42	2.180	100
41.55	2.173	43
49.89	1.828	44
57.50	1.603	14
61.21	1.514	22
66.88	1.399	20

Crystal structure
abc: 3.6561 3.6561 8.1089
angles: 90.00 90.00 90.00
Sites, in units of the cell vectors:
Zr1 0.2500 0.2500 0.2251
Zr2 0.7500 0.7500 0.7749
Ge1 0.2500 0.7500 0.5000
Ge2 0.7500 0.2500 0.5000
S1 0.2500 0.2500 0.8792
S2 0.7500 0.7500 0.1208

(4)
Structure and theoretical X-ray powder pattern of GeSb2Te4 (DFT lattice parameters and positions (PBE); Cu Kα (weighted mean of Kα1 and Kα2)).
Lines closer than 0.1° are merged.

Main lines, in order of rising 2θ (5° ≤ 2θ ≤ 70°):
two_theta	d_spacing	I (rel.)
5.95	14.858	22
25.31	3.519	7
28.92	3.087	100
40.50	2.227	37
42.21	2.141	39
49.07	1.856	9
51.98	1.759	19
59.93	1.544	12
66.67	1.403	15
69.11	1.359	16

Crystal structure
abc: 15.0620 15.0620 15.0620
angles: 16.34 16.34 16.34
Sites, in units of the cell vectors:
Ge1 0.0000 0.0000 0.0000
Sb1 0.5105 0.5105 0.5105
Sb2 0.7538 0.7538 0.7538
Te1 0.1317 0.1317 0.1317
Te2 0.3814 0.3814 0.3814
Te3 0.6350 0.6350 0.6350
Te4 0.8825 0.8825 0.8825

(5)
Structure and theoretical X-ray powder pattern of Ge13Sb13Te32 (DFT lattice parameters and positions (PBE); Cu Kα (weighted mean of Kα1 and Kα2)).
Lines closer than 0.1° are merged.

Main lines, in order of rising 2θ (5° ≤ 2θ ≤ 70°):
two_theta	d_spacing	I (rel.)
24.78	3.593	24
28.75	3.105	91
28.91	3.088	92
29.12	3.067	95
40.71	2.216	31
41.39	2.182	100
41.59	2.171	34
41.75	2.163	33
51.79	1.765	18
68.23	1.375	20

Crystal structure
abc: 12.2678 12.3554 12.4229
angles: 88.62 89.99 89.74
Sites, in units of the cell vectors:
Ge1 0.0000 0.0000 0.0000
Ge2 0.0012 0.0147 0.4854
Ge3 0.2475 0.7377 0.9942
Ge4 0.2494 0.0118 0.7350
Ge5 0.2530 0.4991 0.7305
Ge6 0.2589 0.5103 0.2341
Ge7 0.4960 0.5055 0.4894
Ge8 0.4976 0.7289 0.2183
Ge9 0.4988 0.5051 0.0021
Ge10 0.7475 0.9987 0.7305
Ge11 0.7543 0.2442 0.4866
Ge12 0.7649 0.5035 0.2285
Ge13 0.9988 0.5052 0.4904
Sb1 0.0020 0.2468 0.7043
Sb2 0.2427 0.0177 0.2359
Sb3 0.2473 0.7280 0.4863
Sb4 0.2476 0.2454 0.9881
Sb5 0.4952 0.0165 0.4891
Sb6 0.4968 0.0019 0.9916
Sb7 0.4982 0.2513 0.7074
Sb8 0.7403 0.7367 0.9938
Sb9 0.7466 0.7324 0.4953
Sb10 0.7507 0.2475 0.9957
Sb11 0.7570 0.0117 0.2329
Sb12 0.9949 0.4988 0.0005
Sb13 0.9968 0.7409 0.7156
Te1 0.0002 0.9668 0.2193
Te2 0.0007 0.9923 0.7122
Te3 0.0022 0.4894 0.7132
Te4 0.0040 0.7410 0.9613
Te5 0.2437 0.9841 0.9690
Te6 0.2436 0.9895 0.4714
Te7 0.2483 0.2336 0.7189
Te8 0.2504 0.2458 0.2199
Te9 0.2514 0.4903 0.4640
Te10 0.2528 0.7280 0.7193
Te11 0.2539 0.7347 0.2142
Te12 0.2565 0.4941 0.9670
Te13 0.4932 0.4877 0.7119
Te14 0.4933 0.4919 0.2198
Te15 0.4960 0.7335 0.9674
Te16 0.4993 0.7314 0.4592
Te17 0.4990 0.9800 0.2210
Te18 0.4989 0.9843 0.7178
Te19 0.5000 0.2413 0.9632
Te20 0.5040 0.2459 0.4668
Te21 0.7423 0.2423 0.2260
Te22 0.7457 0.4907 0.9696
Te23 0.7464 0.7315 0.2226
Te24 0.7500 0.2320 0.7136
Te25 0.7507 0.7434 0.7218
Te26 0.7524 0.4865 0.4590
Te27 0.7544 0.9914 0.9665
Te28 0.7550 0.9929 0.4692
Te29 0.9913 0.2384 0.4673
Te30 0.9955 0.4822 0.2246
Te31 0.9960 0.7324 0.4663
Te32 0.9980 0.2326 0.9613

(6)
Structure and theoretical X-ray powder pattern of GeSb2Te4 (DFT lattice parameters and positions (PBE); Cu Kα (weighted mean of Kα1 and Kα2)).
Lines closer than 0.1° are merged.

Main lines, in order of rising 2θ (5° ≤ 2θ ≤ 70°):
two_theta	d_spacing	I (rel.)
16.23	5.461	20
25.30	3.520	14
29.19	3.060	100
29.52	3.026	48
41.75	2.163	38
42.00	2.151	74
51.96	1.760	39
68.59	1.368	17
68.76	1.365	17
69.29	1.356	16

Crystal structure
abc: 7.4392 7.4392 7.4392
angles: 131.43 131.43 71.13
Sites, in units of the cell vectors:
Ge1 0.0000 0.0000 0.0000
Sb1 0.2500 0.7500 0.5000
Sb2 0.5000 0.5000 0.0000
Te1 0.2482 0.2482 0.0000
Te2 0.5016 0.0016 0.5000
Te3 0.7518 0.7518 0.0000
Te4 0.9984 0.4984 0.5000

(7)
Structure and theoretical X-ray powder pattern of Ge9Sb10Te24 (DFT lattice parameters and positions (PBE); Cu Kα (weighted mean of Kα1 and Kα2)).
Lines closer than 0.1° are merged.

Main lines, in order of rising 2θ (5° ≤ 2θ ≤ 70°):
two_theta	d_spacing	I (rel.)
24.82	3.588	12
28.84	3.096	100
29.07	3.071	51
40.83	2.210	17
41.24	2.189	35
41.54	2.174	19
41.63	2.169	36
50.96	1.792	9
51.87	1.763	10
67.93	1.380	11

Crystal structure
abc: 6.1430 6.1964 37.1444
angles: 91.06 90.53 90.35
Sites, in units of the cell vectors:
Ge1 0.0000 0.0000 0.0000
Ge2 0.0008 0.0003 0.1677
Ge3 0.5062 0.5130 0.8337
Ge4 0.5077 0.5110 0.3327
Ge5 0.5173 0.4980 0.6614
Ge6 0.5441 0.4997 0.4930
Ge7 0.9826 0.0212 0.3410
Ge8 0.9871 0.5644 0.5741
Ge9 0.9883 0.0082 0.8291
Sb1 0.4546 0.0133 0.5876
Sb2 0.4617 0.9920 0.4225
Sb3 0.4694 0.0053 0.0905
Sb4 0.4723 0.0240 0.9251
Sb5 0.4742 0.0189 0.2518
Sb6 0.4802 0.0260 0.7485
Sb7 0.9524 0.5293 0.0905
Sb8 0.9678 0.5307 0.9233
Sb9 0.9739 0.5297 0.7398
Sb10 0.9755 0.5300 0.2544
Te1 0.4627 0.0470 0.6662
Te2 0.4632 0.0513 0.4979
Te3 0.4675 0.0532 0.1663
Te4 0.4694 0.0513 0.9999
Te5 0.4715 0.5388 0.0766
Te6 0.4719 0.5324 0.9119
Te7 0.4738 0.0442 0.8305
Te8 0.4736 0.5309 0.2471
Te9 0.4741 0.5333 0.7475
Te10 0.4836 0.0472 0.3306
Te11 0.4855 0.5320 0.4135
Te12 0.4858 0.5365 0.5813
Te13 0.9694 0.5493 0.8327
Te14 0.9714 0.0364 0.9162
Te15 0.9716 0.5414 0.6649
Te16 0.9726 0.0330 0.7511
Te17 0.9739 0.0371 0.0811
Te18 0.9766 0.0294 0.2464
Te19 0.9784 0.5407 0.3317
Te20 0.9797 0.5513 0.1660
Te21 0.9817 0.0485 0.4123
Te22 0.9855 0.5429 0.5021
Te23 0.9851 0.5530 0.9993
Te24 0.9916 0.0334 0.5798

(8)
Structure and theoretical X-ray powder pattern of GeSb2Te4 (DFT lattice parameters and positions (PBE); Cu Kα (weighted mean of Kα1 and Kα2)).
Lines closer than 0.1° are merged.

Main lines, in order of rising 2θ (5° ≤ 2θ ≤ 70°):
two_theta	d_spacing	I (rel.)
26.34	3.383	2
28.59	3.122	100
29.92	2.986	1
39.91	2.259	38
41.84	2.159	36
48.15	1.890	7
51.46	1.776	19
59.19	1.561	12
65.66	1.422	15
68.40	1.372	16

Crystal structure
abc: 13.4610 13.4610 13.4610
angles: 18.46 18.46 18.46
Sites, in units of the cell vectors:
Ge1 0.0000 0.0000 0.0000
Sb1 0.1406 0.1406 0.1406
Sb2 0.8594 0.8594 0.8594
Te1 0.2910 0.2910 0.2910
Te2 0.4303 0.4303 0.4303
Te3 0.5697 0.5697 0.5697
Te4 0.7090 0.7090 0.7090